VSnW2Au: computed XRD peak list (Cu Ka), based on a DFT-relaxed cell (GGA-PBE, Alexandria).

Cell and atoms:
a b c (Å): 4.9344 4.9344 4.8883
angles (deg): 90.00 90.00 90.00
Fractional coordinates of all 5 atoms:
1 V 0.0000 0.0000 0.0000
2 Sn 0.5000 0.5000 0.0000
3 W 0.0000 0.5000 0.5000
4 W 0.5000 0.0000 0.5000
5 Au 0.5000 0.5000 0.5000

Most intense lines, 2θ from 10° to 90°, low angle first:
2θ (°)	Rel. int.	hkl
17.98	744	1 0 0
18.15	767	0 0 1
31.50	618	1 1 1
36.42	1000	2 0 0
36.77	487	0 0 2
40.95	609	2 0 1
52.45	355	2 2 0
52.72	699	2 0 2
55.95	209	2 2 1
65.76	361	2 2 2